Structure and computed X-ray powder pattern of TbHo5Er5 (a crystal structure in Alexandria, relaxed with PBE; λ = 1.5418 Å (Cu Kα)).
Lines closer than 0.1° are merged.

Structure:
```
TbHo5Er5
1.0
6.760 0.000 0.000
2.054 6.575 0.000
1.870 1.461 7.866
Tb Ho Er
1 5 5
direct
0.000 0.000 0.000
0.000 0.500 0.000
0.157 0.631 0.358
0.326 0.766 0.654
0.674 0.234 0.346
0.843 0.369 0.642
0.208 0.138 0.315
0.352 0.248 0.720
0.500 0.500 0.000
0.648 0.752 0.280
0.792 0.862 0.685
```

The 12 most intense peaks (2θ from 10° to 90°), in order of falling intensity:
2.789 Å, 32.1 deg, I = 100
2.745 Å, 32.6 deg, I = 96
2.622 Å, 34.2 deg, I = 89
2.706 Å, 33.1 deg, I = 74
2.756 Å, 32.5 deg, I = 70
2.814 Å, 31.8 deg, I = 57
1.558 Å, 59.3 deg, I = 28
1.852 Å, 49.2 deg, I = 21
2.021 Å, 44.9 deg, I = 21
2.914 Å, 30.7 deg, I = 17
1.943 Å, 46.7 deg, I = 17
1.612 Å, 57.1 deg, I = 14

Structure and computed X-ray powder pattern of Np2NiSe5 (a crystal structure in Alexandria, relaxed with PBE; λ = 1.5418 Å (Cu Kα)).
Lines closer than 0.1° are merged.

Structure:
```
Np2NiSe5
1.0
2.811 -6.363 0.000
2.811 6.363 0.000
0.000 0.000 12.274
Np Ni Se
4 2 10
direct
0.157 0.843 0.574
0.157 0.843 0.926
0.843 0.157 0.074
0.843 0.157 0.426
0.197 0.803 0.250
0.803 0.197 0.750
0.053 0.947 0.125
0.053 0.947 0.375
0.297 0.703 0.750
0.323 0.677 0.091
0.323 0.677 0.409
0.677 0.323 0.591
0.677 0.323 0.909
0.703 0.297 0.250
0.947 0.053 0.625
0.947 0.053 0.875
```

The 12 most intense peaks (2θ from 10° to 90°), in order of falling intensity:
3.441 Å, 25.9 deg, I = 100
5.142 Å, 17.2 deg, I = 93
2.811 Å, 31.8 deg, I = 82
2.512 Å, 35.7 deg, I = 77
1.873 Å, 48.6 deg, I = 62
2.177 Å, 41.5 deg, I = 58
6.363 Å, 13.9 deg, I = 50
2.017 Å, 44.9 deg, I = 33
6.137 Å, 14.4 deg, I = 24
1.654 Å, 55.6 deg, I = 21
2.046 Å, 44.3 deg, I = 21
2.965 Å, 30.1 deg, I = 20

Structure and computed X-ray powder pattern of BaLaSmCuO5 (a crystal structure in Alexandria, relaxed with PBE; λ = 1.5418 Å (Cu Kα)).
Lines closer than 0.1° are merged.

Structure:
```
BaLaSmCuO5
1.0
4.764 -4.825 0.000
4.764 4.825 0.000
0.000 0.000 5.882
Ba La Sm Cu O
2 2 2 2 10
direct
0.000 0.500 0.000
0.500 0.000 0.000
0.175 0.825 0.500
0.825 0.175 0.500
0.327 0.327 0.500
0.673 0.673 0.500
0.000 0.000 0.000
0.500 0.500 0.000
0.000 0.500 0.500
0.143 0.143 0.240
0.143 0.143 0.760
0.364 0.636 0.245
0.364 0.636 0.755
0.500 0.000 0.500
0.636 0.364 0.245
0.636 0.364 0.755
0.857 0.857 0.240
0.857 0.857 0.760
```

The 12 most intense peaks (2θ from 10° to 90°), in order of falling intensity:
2.938 Å, 30.4 deg, I = 100
2.684 Å, 33.4 deg, I = 21
2.706 Å, 33.1 deg, I = 20
2.106 Å, 42.9 deg, I = 16
1.697 Å, 54.0 deg, I = 15
2.116 Å, 42.7 deg, I = 15
2.413 Å, 37.3 deg, I = 9
1.865 Å, 48.8 deg, I = 8
5.882 Å, 15.1 deg, I = 8
1.629 Å, 56.5 deg, I = 8
3.017 Å, 29.6 deg, I = 8
2.382 Å, 37.8 deg, I = 8